# NiH6S2O12
Theoretical powder XRD pattern, Cu Kα (weighted mean of Kα1 and Kα2). Input: a cell relaxed with GGA+U.
Intensities are scaled so that the largest is 100.

Peak list (10 most intense, 5° ≤ 2θ ≤ 70°, sorted by position)
hkl	2θ (°)	d [Å]	Rel. int.
1 0 0	15.42	5.747	55
0 1 -1	16.37	5.416	100
0 1 1	21.10	4.211	98
-1 1 1	22.36	3.976	80
1 1 -1	23.37	3.807	37
0 2 0	27.44	3.251	28
2 -1 0	30.54	2.927	19
1 -1 2	31.33	2.855	26
-1 2 1	32.45	2.759	24
2 -2 1	37.93	2.372	23

Atomic structure:
Cell: 6.004 6.889 7.082 Å, 102.08 97.30 103.15°
Space group P-1 (No. 2)
Inequivalent atoms, fractional coordinates:
Ni1 0.000 0.000 0.000
H1 0.005 0.817 0.265
H2 0.272 0.092 0.423
H3 0.399 0.160 0.079
S1 0.197 0.485 0.562
O1 0.126 0.875 0.189
O2 0.138 0.265 0.565
O3 0.255 0.632 0.751
O4 0.268 0.154 0.978
O5 0.305 0.532 0.400
O6 0.331 0.990 0.334